The following is a simulated X-ray powder pattern of Hg2PtBr8. It was derived from a cell relaxed with GGA-PBE, using Cu Kα.
Kinematic intensities with the Lorentz-polarization factor, no thermal factor.

Structure:
```
Hg2PtBr8
1.0
5.749 -3.643 0.000
5.749 3.643 0.000
-2.117 0.000 9.832
Hg Pt Br
2 1 8
direct
0.176 0.176 0.082
0.824 0.824 0.918
0.500 0.500 0.500
0.014 0.014 0.209
0.121 0.586 0.415
0.345 0.345 0.967
0.414 0.879 0.585
0.586 0.121 0.415
0.655 0.655 0.033
0.879 0.414 0.585
0.986 0.986 0.791
```

Main lines, most intense first (2θ from 10° to 80°):
Position (°2θ)	d (Å)	I (rel.)
16.2	5.481	100
24.5	3.637	80
31.6	2.829	63
26.1	3.416	56
18.0	4.916	51
26.5	3.366	42
42.7	2.118	41
45.3	2.003	33
40.0	2.253	32
36.7	2.449	30
29.4	3.035	28
21.4	4.159	24